Theoretical X-ray powder pattern of Li2V2FeO6 for Cu Kα (weighted mean of Kα1 and Kα2), from DFT lattice parameters and positions (GGA+U).
Peak positions follow from Bragg's law for the DFT cell and can differ from measured ones.

Lattice parameters (Å, degrees): 8.9846 4.9788 10.1217 90.00 92.59 90.00
Space group C2/c (No. 15)
Unique sites:
Li: 0.1667 0.1403 0.2511 x8
V: 0.0796 0.2636 0.5102 x8
Fe: 0.2500 0.2500 0.0000 x4
O: 0.0840 0.0704 0.9006 x8
O: 0.0960 0.4125 0.1076 x8
O: 0.2443 0.4143 0.3936 x8

Top 10 peaks for 2θ = 10–80°, most intense first:
two_theta  Rel. int.  h k l
17.5  100.0  0 0 2
45.3  18.0  3 1 3
43.5  17.6  3 1 -3
36.5  16.9  3 1 1
40.4  14.3  0 2 2
51.5  12.7  0 2 4
35.8  12.0  3 1 -1
59.3  8.6  3 1 5
64.7  8.1  3 3 -1
56.9  8.1  3 1 -5